This entry pairs a crystal structure of Ca11Ga7 with its calculated PXRD pattern. Radiation: λ = 1.5418 Å (Cu Kα). Structure: a structure optimized by DFT (PBE).

```
data_Ca11Ga7
_cell_length_a 16.090
_cell_length_b 16.090
_cell_length_c 16.090
_cell_angle_alpha 90.00
_cell_angle_beta 90.00
_cell_angle_gamma 90.00
_space_group_name_H-M_alt 'F m -3 m'
_space_group_IT_number 225
_space_group_name_Hall '-F 4 2 3'
loop_
_atom_site_label
_atom_site_fract_x
_atom_site_fract_y
_atom_site_fract_z
Ca1 0.000 0.000 0.000
Ca2 0.000 0.000 0.500
Ca3 0.000 0.168 0.168
Ca4 0.130 0.130 0.370
Ga1 0.000 0.000 0.280
Ga2 0.191 0.191 0.191
```

Top 10 peaks for 2θ = 15–90°, low angle first:
2θ (°)	d/Å	intensity	index
19.11	4.645	47	2 2 2
28.83	3.097	28	3 3 3
31.45	2.844	52	4 4 0
32.93	2.720	100	5 3 1
33.41	2.682	92	6 0 0
36.62	2.454	57	5 3 3
43.19	2.095	65	5 5 3
47.98	1.896	34	6 6 0
56.00	1.642	23	8 4 4
66.51	1.406	18	9 5 5